This entry pairs a crystal structure of TmZrOs with its calculated X-ray diffraction stick pattern. Radiation: Cu Kα (λ = 1.5418 Å). Structure: a DFT-relaxed cell (GGA-PBE, Alexandria).

Atomic structure:
a b c (Å): 8.0445 8.0102 6.5625
angles (deg): 66.15 65.60 48.25
Sites, in units of the cell vectors:
Tm 0.0007 0.0007 0.7493
Tm 0.2507 0.2507 0.9993
Tm 0.7493 0.7493 0.0007
Tm 0.9993 0.9993 0.2507
Zr 0.2516 0.2516 0.4984
Zr 0.4984 0.4984 0.2516
Zr 0.5016 0.5016 0.7484
Zr 0.7484 0.7484 0.5016
Os 0.1387 0.6113 0.6113
Os 0.3887 0.8613 0.8613
Os 0.6113 0.1387 0.1387
Os 0.8613 0.3887 0.3887

Largest 10 diffraction maxima, by angle, 2θ from 10° to 90°:
2θ (°)	I/Imax
23.39	32.6
23.60	30.7
38.56	25.9
38.85	100.0
39.07	23.7
45.70	10.8
46.02	15.2
56.06	16.6
69.96	17.8
70.61	23.9